Diffraction record for Fe3O2F2. The X-ray powder pattern is theoretical, not measured: it uses a crystal structure in Alexandria, relaxed with GGA+U and CuKα.
Neutral-atom scattering factors, no anomalous dispersion.

Peak list (8 most intense, 10° ≤ 2θ ≤ 90°, by angle)
hkl  Position (°2θ)  I_rel
0 0 1  10.3  32
2 0 1  29.8  60
0 0 3  31.3  49
1 1 1  32.7  100
2 1 0  39.6  45
0 0 4  42.2  42
3 1 1  52.4  36
2 1 4  59.3  44

Atomic structure:
Cell lengths 6.409, 3.235, 8.562 Å; angles 90.00, 90.00, 90.00 degrees
Space group Pmma (No. 51)
Inequivalent atoms, fractional coordinates:
Fe 0.000 0.000 0.000 [2 per cell]
Fe 0.250 0.000 0.319 [2 per cell]
Fe 0.250 0.500 0.723 [2 per cell]
O 0.032 0.000 0.770 [4 per cell]
F 0.250 0.500 0.007 [2 per cell]
F 0.250 0.500 0.481 [2 per cell]